Structure and simulated X-ray diffraction stick pattern of NaMgAlS3O12 (a GGA-PBE-relaxed structure; Cu Kα (λ = 1.5418 Å)).
Intensities are scaled so that the largest is 100.

Top 10 peaks for 10 to 80 degrees two-theta, in order of rising 2θ:
| d [Å] | I (rel.) | hkl |
| --- | --- | --- |
| 6.091 | 7 | 0 1 2 |
| 3.681 | 7 | 0 0 6 |
| 3.659 | 100 | 1 1 3 |
| 3.046 | 9 | 0 2 4 |
| 2.773 | 26 | 1 1 6 |
| 2.739 | 12 | 2 1 1 |
| 2.434 | 8 | 3 0 0 |
| 1.952 | 6 | 1 2 8 |
| 1.829 | 11 | 2 2 6 |
| 1.594 | 6 | 4 1 0 |

Lattice parameters (Å, degrees): 8.4325 8.4325 22.0831 90.00 90.00 120.00
Space group R3c (No. 161, hexagonal axes)
Inequivalent atoms, fractional coordinates:
Na 0.0000 0.0000 0.0000
Mg 0.0000 0.0000 0.3546
Al 0.0000 0.0000 0.1503
S 0.0070 0.2944 0.2522
O 0.0139 0.1948 0.9117
O 0.0372 0.2096 0.1967
O 0.1482 0.4592 0.9731
O 0.1775 0.4782 0.2584